Starting from a DFT-relaxed cell (GGA-PBE, Alexandria), the powder diffractogram of AlPb5 was simulated for Cu Kα (weighted mean of Kα1 and Kα2).
Intensities are scaled so that the largest is 100.

Most intense lines, 2θ from 10° to 80°, in order of rising 2θ:
2theta  Rel. int.  hkl
25.4  19.3  4 0 -1
30.8  56.5  2 0 2
31.0  51.1  4 0 -2
32.3  100.0  3 1 0
35.7  74.6  1 1 -2
38.5  29.2  6 0 0
53.3  24.5  5 1 2
53.6  19.2  7 1 -2
60.2  15.7  1 1 4
62.8  15.5  2 2 2

Structure:
Unit cell a=14.495 b=3.442 c=7.365 alpha=90.00 beta=104.32 gamma=90.00
Space group C2/m (No. 12)
Inequivalent atoms, fractional coordinates:
Al: 0.000 0.000 0.000 x2
Pb: 0.000 0.000 0.500 x2
Pb: 0.153 0.500 0.851 x4
Pb: 0.165 0.500 0.316 x4

Starting from a DFT-relaxed cell (GGA-PBE, Alexandria), the powder diffractogram of Pm7AlPb2 was simulated for Cu Kα (weighted mean of Kα1 and Kα2).
Intensities are scaled so that the largest is 100.

Most intense lines, 2θ from 10° to 80°, in order of rising 2θ:
2theta  Rel. int.  hkl
19.0  14.3  1 0 0
23.5  23.0  1 0 2
28.1  16.0  0 1 3
33.2  100.0  1 1 0
33.6  93.4  1 0 4
48.0  34.6  0 2 4
59.4  19.1  3 0 0
59.6  36.3  2 1 4
69.8  11.8  2 2 0
79.7  15.9  1 3 4

Structure:
Unit cell a=5.3894 b=5.3894 c=12.9965 alpha=90.00 beta=90.00 gamma=120.00
Space group P3m1 (No. 156)
Inequivalent atoms, fractional coordinates:
Pm: 0.0000 0.0000 0.0000 x1
Pm: 0.0000 0.0000 0.2510 x1
Pm: 0.0000 0.0000 0.7361 x1
Pm: 0.3333 0.6667 0.3935 x1
Pm: 0.3333 0.6667 0.8895 x1
Pm: 0.6667 0.3333 0.1310 x1
Pm: 0.6667 0.3333 0.5743 x1
Al: 0.3333 0.6667 0.1402 x1
Pb: 0.0000 0.0000 0.4944 x1
Pb: 0.6667 0.3333 0.8405 x1

Starting from a DFT-relaxed cell (GGA-PBE, Alexandria), the powder diffractogram of Pr8AlPb2 was simulated for Cu Kα (weighted mean of Kα1 and Kα2).
Intensities are scaled so that the largest is 100.

Most intense lines, 2θ from 10° to 80°, in order of rising 2θ:
2theta  Rel. int.  hkl
27.3  33.2  3 1 1
28.6  100.0  5 1 0
30.5  93.1  1 1 -2
31.1  46.8  3 1 -2
32.7  37.5  1 1 2
33.3  79.2  0 2 0
34.2  38.8  5 1 1
34.5  24.6  5 1 -2
36.0  32.1  7 1 -1
43.7  32.5  2 0 3

Structure:
Unit cell a=19.914 b=5.389 c=7.026 alpha=90.00 beta=105.86 gamma=90.00
Space group C2/m (No. 12)
Inequivalent atoms, fractional coordinates:
Pr: 0.010 0.000 0.273 x4
Pr: 0.090 0.500 0.973 x4
Pr: 0.155 0.500 0.499 x4
Pr: 0.213 0.000 0.818 x4
Al: 0.000 0.500 0.500 x2
Pb: 0.176 0.000 0.251 x4

Starting from a DFT-relaxed cell (GGA-PBE, Alexandria), the powder diffractogram of Pr12AlPb3 was simulated for Cu Kα (weighted mean of Kα1 and Kα2).
Intensities are scaled so that the largest is 100.

Most intense lines, 2θ from 10° to 80°, in order of rising 2θ:
2theta  Rel. int.  hkl
18.2  1.9  1 0 1
19.8  1.6  1 0 2
22.2  1.7  1 0 3
28.5  2.0  1 1 3
30.9  100.0  1 1 4
35.8  50.6  2 0 0
51.6  35.8  2 2 0
61.3  42.3  3 1 4
64.4  12.2  2 2 8
75.9  5.7  4 0 0

Structure:
Unit cell a=5.014 b=5.014 c=20.046 alpha=90.00 beta=90.00 gamma=90.00
Space group P4/mmm (No. 123)
Inequivalent atoms, fractional coordinates:
Pr: 0.000 0.000 0.000 x1
Pr: 0.000 0.000 0.248 x2
Pr: 0.000 0.000 0.500 x1
Pr: 0.000 0.500 0.121 x4
Pr: 0.000 0.500 0.374 x4
Al: 0.500 0.500 0.000 x1
Pb: 0.500 0.500 0.247 x2
Pb: 0.500 0.500 0.500 x1

Starting from a DFT-relaxed cell (GGA-PBE, Alexandria), the powder diffractogram of AlPt6Pb was simulated for Cu Kα (weighted mean of Kα1 and Kα2).
Intensities are scaled so that the largest is 100.

Most intense lines, 2θ from 10° to 80°, in order of rising 2θ:
2theta  Rel. int.  hkl
24.7  5.3  1 0 1
33.4  6.1  1 1 1
38.7  100.0  1 1 2
44.9  14.8  0 0 4
45.1  34.0  2 0 0
65.5  19.6  2 0 4
65.6  11.3  2 2 0
66.6  4.6  1 1 5
78.6  9.8  1 1 6
78.9  26.1  3 1 2

Structure:
Unit cell a=4.025 b=4.025 c=8.078 alpha=90.00 beta=90.00 gamma=90.00
Space group P4/mmm (No. 123)
Inequivalent atoms, fractional coordinates:
Al: 0.000 0.000 0.000 x1
Pt: 0.000 0.500 0.230 x4
Pt: 0.500 0.500 0.000 x1
Pt: 0.500 0.500 0.500 x1
Pb: 0.000 0.000 0.500 x1

Starting from a DFT-relaxed cell (GGA-PBE, Alexandria), the powder diffractogram of Rb4AlPb4 was simulated for Cu Kα (weighted mean of Kα1 and Kα2).
Intensities are scaled so that the largest is 100.

Most intense lines, 2θ from 10° to 80°, in order of rising 2θ:
2theta  Rel. int.  hkl
26.2  100.0  1 1 4
27.0  33.5  0 2 0
27.1  30.4  2 0 0
33.2  66.8  1 1 6
38.6  23.6  2 2 0
47.2  13.4  1 3 4
47.3  13.7  3 1 4
51.7  14.2  1 3 6
51.8  14.7  3 1 6
53.8  16.9  2 0 10

Structure:
Unit cell a=6.578 b=6.614 c=19.897 alpha=90.00 beta=90.00 gamma=90.00
Space group I222 (No. 23)
Inequivalent atoms, fractional coordinates:
Rb: 0.237 0.237 0.346 x8
Al: 0.000 0.000 0.500 x2
Pb: 0.210 0.209 0.042 x8

Starting from a DFT-relaxed cell (GGA-PBE, Alexandria), the powder diffractogram of RbAlSb2Pb was simulated for Cu Kα (weighted mean of Kα1 and Kα2).
Intensities are scaled so that the largest is 100.

Most intense lines, 2θ from 10° to 80°, in order of rising 2θ:
2theta  Rel. int.  hkl
15.7  28.4  2 0 -2
23.2  31.4  4 0 0
26.0  100.0  1 1 -2
28.6  27.7  6 0 -2
31.3  19.7  5 1 -2
35.5  23.5  5 1 0
38.6  22.3  3 1 2
40.3  23.9  0 2 0
42.3  18.3  7 1 -4
47.0  21.1  3 1 3

Structure:
Unit cell a=18.727 b=4.471 c=11.265 alpha=90.00 beta=125.04 gamma=90.00
Space group C2/m (No. 12)
Inequivalent atoms, fractional coordinates:
Rb: 0.203 0.000 0.148 x4
Al: 0.046 0.000 0.659 x4
Sb: 0.088 0.500 0.823 x4
Sb: 0.140 0.000 0.538 x4
Pb: 0.113 0.500 0.337 x4

Starting from a DFT-relaxed cell (GGA-PBE, Alexandria), the powder diffractogram of ZrAlRhPb2 was simulated for Cu Kα (weighted mean of Kα1 and Kα2).
Intensities are scaled so that the largest is 100.

Most intense lines, 2θ from 10° to 80°, in order of rising 2θ:
2theta  Rel. int.  hkl
19.3  66.5  0 0 1
25.7  26.9  1 0 1
30.9  100.0  1 1 1
34.1  87.1  2 0 0
39.1  30.1  0 0 2
39.5  45.7  2 0 1
49.0  31.6  2 2 0
52.9  50.5  2 0 2
59.1  32.9  3 1 1
64.4  27.9  2 2 2

Structure:
Unit cell a=5.255 b=5.255 c=4.606 alpha=90.00 beta=90.00 gamma=90.00
Space group P4/mmm (No. 123)
Inequivalent atoms, fractional coordinates:
Zr: 0.000 0.000 0.000 x1
Al: 0.500 0.500 0.000 x1
Rh: 0.500 0.500 0.500 x1
Pb: 0.000 0.500 0.500 x2

Starting from a DFT-relaxed cell (GGA-PBE, Alexandria), the powder diffractogram of AlRuPb2 was simulated for Cu Kα (weighted mean of Kα1 and Kα2).
Intensities are scaled so that the largest is 100.

Most intense lines, 2θ from 10° to 80°, in order of rising 2θ:
2theta  Rel. int.  hkl
18.0  20.1  0 0 6
27.2  31.9  0 0 9
31.8  24.6  1 0 1
33.9  100.0  1 0 4
35.2  37.3  0 1 5
40.2  44.0  0 1 8
44.3  14.1  1 0 10
51.6  17.2  1 0 13
56.3  26.7  1 1 0
63.7  18.6  1 1 9

Structure:
Unit cell a=3.2656 b=3.2656 c=29.5403 alpha=90.00 beta=90.00 gamma=120.00
Space group R3m (No. 160, hexagonal axes)
Inequivalent atoms, fractional coordinates:
Al: 0.0000 0.0000 0.0000 x3
Ru: 0.0000 0.0000 0.7218 x3
Pb: 0.0000 0.0000 0.2401 x3
Pb: 0.0000 0.0000 0.4624 x3

Starting from a DFT-relaxed cell (GGA-PBE, Alexandria), the powder diffractogram of AlPbS2 was simulated for Cu Kα (weighted mean of Kα1 and Kα2).
Intensities are scaled so that the largest is 100.

Most intense lines, 2θ from 10° to 80°, in order of rising 2θ:
2theta  Rel. int.  hkl
14.1  66.6  0 2 0
20.1  86.2  1 1 -1
25.4  100.0  1 1 1
28.4  99.4  1 3 -1
32.5  26.6  1 3 1
33.4  32.9  2 2 0
34.9  27.5  0 2 2
38.0  18.7  2 0 -2
41.8  30.1  2 4 0
43.1  33.1  0 4 2

Structure:
Unit cell a=6.138 b=12.600 c=5.820 alpha=90.00 beta=104.77 gamma=90.00
Space group C2/c (No. 15)
Inequivalent atoms, fractional coordinates:
Al: 0.000 0.010 0.250 x4
Pb: 0.000 0.268 0.750 x4
S: 0.212 0.096 0.569 x8

Starting from a DFT-relaxed cell (GGA-PBE, Alexandria), the powder diffractogram of AlPbS2 was simulated for Cu Kα (weighted mean of Kα1 and Kα2).
Intensities are scaled so that the largest is 100.

Most intense lines, 2θ from 10° to 80°, in order of rising 2θ:
2theta  Rel. int.  hkl
15.5  100.0  0 2 0
21.9  94.7  0 2 2
28.7  33.0  2 0 0
31.1  25.1  0 0 4
31.3  24.8  0 4 0
32.8  67.6  2 2 0
35.0  30.5  0 2 4
35.1  30.1  0 4 2
36.4  30.1  2 2 2
45.9  88.7  2 2 4

Structure:
Unit cell a=6.217 b=11.432 c=11.489 alpha=90.00 beta=90.00 gamma=90.00
Space group Fmmm (No. 69)
Inequivalent atoms, fractional coordinates:
Al: 0.250 0.000 0.000 x8
Pb: 0.000 0.250 0.250 x8
S: 0.000 0.000 0.147 x8
S: 0.000 0.148 0.500 x8

Starting from a DFT-relaxed cell (GGA-PBE, Alexandria), the powder diffractogram of UAlPb2S6 was simulated for Cu Kα (weighted mean of Kα1 and Kα2).
Intensities are scaled so that the largest is 100.

Most intense lines, 2θ from 10° to 80°, in order of rising 2θ:
2theta  Rel. int.  hkl
15.5  40.3  0 1 1
25.2  38.2  0 2 0
25.8  100.0  1 1 1
26.0  100.0  1 1 -3
26.4  49.6  2 0 -2
30.7  42.0  2 1 -1
36.9  89.0  0 0 4
41.7  32.9  1 3 -2
46.1  26.9  3 1 -1
46.4  34.2  3 1 -5

Structure:
Unit cell a=6.752 b=7.054 c=11.794 alpha=90.00 beta=124.34 gamma=90.00
Space group P2_1/c (No. 14)
Inequivalent atoms, fractional coordinates:
U: 0.000 0.000 0.000 x2
Al: 0.500 0.000 0.500 x2
Pb: 0.275 0.070 0.754 x4
S: 0.164 0.017 0.260 x4
S: 0.257 0.693 0.050 x4
S: 0.357 0.210 0.045 x4

Starting from a DFT-relaxed cell (GGA-PBE, Alexandria), the powder diffractogram of AlSbPb2 was simulated for Cu Kα (weighted mean of Kα1 and Kα2).
Intensities are scaled so that the largest is 100.

Most intense lines, 2θ from 10° to 80°, in order of rising 2θ:
2theta  Rel. int.  hkl
18.9  18.8  0 0 2
25.8  18.6  1 1 0
32.2  100.0  1 1 2
36.8  35.1  2 0 0
38.4  15.6  0 0 4
53.0  12.4  2 2 0
54.2  23.2  2 0 4
63.4  29.2  3 1 2
65.5  14.0  1 1 6
67.3  12.3  2 2 4

Structure:
Unit cell a=4.884 b=4.884 c=9.382 alpha=90.00 beta=90.00 gamma=90.00
Space group I4/mmm (No. 139)
Inequivalent atoms, fractional coordinates:
Al: 0.000 0.000 0.000 x2
Sb: 0.000 0.000 0.500 x2
Pb: 0.000 0.500 0.250 x4

Starting from a DFT-relaxed cell (GGA-PBE, Alexandria), the powder diffractogram of AlPb2Se was simulated for Cu Kα (weighted mean of Kα1 and Kα2).
Intensities are scaled so that the largest is 100.

Most intense lines, 2θ from 10° to 80°, in order of rising 2θ:
2theta  Rel. int.  hkl
27.9  30.4  1 0 1
28.9  26.6  0 0 9
30.6  100.0  1 0 4
32.1  42.3  0 1 5
38.1  40.7  0 1 8
49.0  31.0  1 1 0
51.2  18.0  1 0 13
57.8  23.4  1 1 9
58.8  16.1  0 2 4
63.7  17.2  2 0 8

Structure:
Unit cell a=3.7204 b=3.7204 c=27.8445 alpha=90.00 beta=90.00 gamma=120.00
Space group R3m (No. 160, hexagonal axes)
Inequivalent atoms, fractional coordinates:
Al: 0.0000 0.0000 0.0000 x3
Pb: 0.0000 0.0000 0.5054 x3
Pb: 0.0000 0.0000 0.7476 x3
Se: 0.0000 0.0000 0.2882 x3